[1]
Computed X-ray powder pattern
Compound: PrErPt
Radiation: Cu Kα (weighted mean of Kα1 and Kα2)
Structure: a crystal structure in Alexandria, relaxed with GGA-PBE
Neutral-atom scattering factors, no anomalous dispersion.

Structural model:
```
data_PrErPt
_cell_length_a 12.5178
_cell_length_b 3.8625
_cell_length_c 8.2532
_cell_angle_alpha 90.00
_cell_angle_beta 124.48
_cell_angle_gamma 90.00
_symmetry_space_group_name_H-M 'C 1 m 1'
_symmetry_Int_Tables_number 8
_symmetry_space_group_name_Hall 'C -2y'
loop_
_atom_site_label
_atom_site_type_symbol
_atom_site_fract_x
_atom_site_fract_y
_atom_site_fract_z
Pr1 Pr 0.0000 0.0000 0.0000
Pr2 Pr 0.0696 0.5000 0.6882
Er1 Er 0.2425 0.5000 0.4558
Er2 Er 0.3302 0.0000 0.1499
Pt1 Pt 0.0258 0.0000 0.3746
Pt2 Pt 0.2917 0.0000 0.7553
```

Principal peaks in the range 2θ from 5° to 70°, in order of rising 2θ:
2θ (°), d [Å], I (rel.)
14.53, 6.095, 62.2
30.20, 2.960, 69.1
31.60, 2.831, 87.6
32.35, 2.767, 46.7
32.94, 2.719, 52.4
33.68, 2.661, 56.6
34.78, 2.580, 49.6
34.92, 2.570, 100.0
39.80, 2.265, 88.4
47.05, 1.931, 42.6

---

[2]
Computed X-ray powder pattern
Compound: Ca2Cu12Ni5
Radiation: Cu Kα (weighted mean of Kα1 and Kα2)
Structure: a crystal structure in Alexandria, relaxed with GGA-PBE
Neutral-atom scattering factors, no anomalous dispersion.

Structural model:
```
data_Ca2Cu12Ni5
_cell_length_a 8.4830
_cell_length_b 8.4830
_cell_length_c 12.4057
_cell_angle_alpha 90.00
_cell_angle_beta 90.00
_cell_angle_gamma 120.00
_symmetry_space_group_name_H-M 'R -3 m'
_symmetry_Int_Tables_number 166
_symmetry_space_group_name_Hall '-R 3 2"'
loop_
_atom_site_label
_atom_site_type_symbol
_atom_site_fract_x
_atom_site_fract_y
_atom_site_fract_z
Ca1 Ca 0.0000 0.0000 0.1628
Cu1 Cu 0.0000 0.2914 0.5000
Cu2 Cu 0.0056 0.5028 0.3459
Ni1 Ni 0.0000 0.0000 0.4028
Ni2 Ni 0.0000 0.5000 0.0000
```

Principal peaks in the range 2θ from 5° to 70°, in order of rising 2θ:
2θ (°), d [Å], I (rel.)
14.01, 6.321, 35.8
20.94, 4.241, 28.7
36.70, 2.449, 25.8
37.97, 2.370, 26.2
42.63, 2.121, 60.0
42.92, 2.107, 93.9
43.78, 2.068, 45.5
44.04, 2.056, 21.0
48.23, 1.887, 100.0
49.01, 1.859, 31.0

---

[3]
Computed X-ray powder pattern
Compound: Ca3PaPd4
Radiation: Cu Kα (weighted mean of Kα1 and Kα2)
Structure: a crystal structure in Alexandria, relaxed with GGA-PBE
Neutral-atom scattering factors, no anomalous dispersion.

Structural model:
```
data_Ca3PaPd4
_cell_length_a 7.0217
_cell_length_b 7.0217
_cell_length_c 7.0217
_cell_angle_alpha 90.00
_cell_angle_beta 90.00
_cell_angle_gamma 90.00
_symmetry_space_group_name_H-M 'I m -3 m'
_symmetry_Int_Tables_number 229
_symmetry_space_group_name_Hall '-I 4 2 3'
loop_
_atom_site_label
_atom_site_type_symbol
_atom_site_fract_x
_atom_site_fract_y
_atom_site_fract_z
Ca1 Ca 0.0000 0.0000 0.5000
Pa1 Pa 0.0000 0.0000 0.0000
Pd1 Pd 0.2500 0.2500 0.2500
```

Principal peaks in the range 2θ from 5° to 70°, in order of rising 2θ:
2θ (°), d [Å], I (rel.)
17.86, 4.965, 29.6
31.20, 2.867, 15.9
36.18, 2.483, 100.0
40.63, 2.220, 8.1
48.51, 1.877, 10.0
52.10, 1.755, 17.3
55.52, 1.655, 5.1
61.99, 1.497, 2.5
65.08, 1.433, 34.9
68.09, 1.377, 5.7

---

[4]
Computed X-ray powder pattern
Compound: BeFeOs
Radiation: Cu Kα (weighted mean of Kα1 and Kα2)
Structure: a crystal structure in Alexandria, relaxed with GGA-PBE
Neutral-atom scattering factors, no anomalous dispersion.

Structural model:
```
data_BeFeOs
_cell_length_a 3.8288
_cell_length_b 9.0305
_cell_length_c 3.7742
_cell_angle_alpha 90.00
_cell_angle_beta 90.00
_cell_angle_gamma 90.00
_symmetry_space_group_name_H-M 'C m m m'
_symmetry_Int_Tables_number 65
_symmetry_space_group_name_Hall '-C 2 2'
loop_
_atom_site_label
_atom_site_type_symbol
_atom_site_fract_x
_atom_site_fract_y
_atom_site_fract_z
Be1 Be 0.0000 0.0000 0.0000
Be2 Be 0.0000 0.5000 0.5000
Fe1 Fe 0.0000 0.1600 0.5000
Os1 Os 0.0000 0.3428 0.0000
```

Principal peaks in the range 2θ from 5° to 70°, in order of rising 2θ:
2θ (°), d [Å], I (rel.)
19.66, 4.515, 29.5
23.57, 3.774, 35.8
25.27, 3.525, 18.9
34.83, 2.576, 55.7
38.03, 2.366, 20.8
39.93, 2.258, 15.0
45.23, 2.005, 100.0
47.49, 1.914, 22.3
48.22, 1.887, 21.3
63.00, 1.475, 10.4

---

[5]
Computed X-ray powder pattern
Compound: Ca2SnPbCl8
Radiation: Cu Kα (weighted mean of Kα1 and Kα2)
Structure: a crystal structure in Alexandria, relaxed with GGA-PBE
Neutral-atom scattering factors, no anomalous dispersion.

Structural model:
```
data_Ca2SnPbCl8
_cell_length_a 6.4865
_cell_length_b 8.5731
_cell_length_c 6.6953
_cell_angle_alpha 90.00
_cell_angle_beta 90.29
_cell_angle_gamma 90.00
_symmetry_space_group_name_H-M 'P 1 2/m 1'
_symmetry_Int_Tables_number 10
_symmetry_space_group_name_Hall '-P 2y'
loop_
_atom_site_label
_atom_site_type_symbol
_atom_site_fract_x
_atom_site_fract_y
_atom_site_fract_z
Ca1 Ca 0.0000 0.2487 0.0000
Sn1 Sn 0.5000 0.0000 0.5000
Pb1 Pb 0.5000 0.5000 0.5000
Cl1 Cl 0.2145 0.5000 0.1606
Cl2 Cl 0.2163 0.0000 0.1654
Cl3 Cl 0.2658 0.2461 0.6773
```

Principal peaks in the range 2θ from 5° to 70°, in order of rising 2θ:
2θ (°), d [Å], I (rel.)
13.22, 6.695, 27.9
13.65, 6.486, 24.7
19.05, 4.658, 100.0
24.90, 3.576, 36.7
28.26, 3.158, 51.6
30.10, 2.969, 20.5
36.83, 2.440, 21.5
37.22, 2.416, 25.7
37.32, 2.409, 30.9
45.84, 1.980, 24.8

---

[6]
Computed X-ray powder pattern
Compound: CuTcPb2O6
Radiation: Cu Kα (weighted mean of Kα1 and Kα2)
Structure: a crystal structure in Alexandria, relaxed with GGA-PBE
Neutral-atom scattering factors, no anomalous dispersion.

Structural model:
```
data_CuTcPb2O6
_cell_length_a 5.2842
_cell_length_b 5.3109
_cell_length_c 11.0676
_cell_angle_alpha 90.00
_cell_angle_beta 118.11
_cell_angle_gamma 90.00
_symmetry_space_group_name_H-M 'P 1 21/c 1'
_symmetry_Int_Tables_number 14
_symmetry_space_group_name_Hall '-P 2ybc'
loop_
_atom_site_label
_atom_site_type_symbol
_atom_site_fract_x
_atom_site_fract_y
_atom_site_fract_z
Cu1 Cu 0.0000 0.0000 0.0000
Tc1 Tc 0.5000 0.0000 0.5000
Pb1 Pb 0.2761 0.0116 0.7636
O1 O 0.2167 0.0602 0.3058
O2 O 0.2804 0.1997 0.5633
O3 O 0.3064 0.7028 0.5071
```

Principal peaks in the range 2θ from 5° to 70°, in order of rising 2θ:
2θ (°), d [Å], I (rel.)
23.75, 3.746, 25.3
30.00, 2.979, 94.2
30.15, 2.964, 100.0
33.75, 2.655, 35.8
33.93, 2.642, 33.6
36.83, 2.441, 33.6
48.61, 1.873, 33.7
50.79, 1.798, 32.3
58.12, 1.587, 32.7
62.34, 1.490, 26.6

---

[7]
Computed X-ray powder pattern
Compound: Pu5Ge2Os2
Radiation: Cu Kα (weighted mean of Kα1 and Kα2)
Structure: a crystal structure in Alexandria, relaxed with GGA-PBE
Neutral-atom scattering factors, no anomalous dispersion.

Structural model:
```
data_Pu5Ge2Os2
_cell_length_a 13.0862
_cell_length_b 8.7060
_cell_length_c 8.3222
_cell_angle_alpha 90.00
_cell_angle_beta 129.10
_cell_angle_gamma 90.00
_symmetry_space_group_name_H-M 'C 1 2 1'
_symmetry_Int_Tables_number 5
_symmetry_space_group_name_Hall 'C 2y'
loop_
_atom_site_label
_atom_site_type_symbol
_atom_site_fract_x
_atom_site_fract_y
_atom_site_fract_z
Pu1 Pu 0.0006 0.0000 0.2459
Pu2 Pu 0.0006 0.2732 0.3402
Pu3 Pu 0.0007 0.5683 0.8195
Pu4 Pu 0.2459 0.2671 0.4399
Pu5 Pu 0.2474 0.2654 0.0545
Ge1 Ge 0.0000 0.2611 0.0000
Ge2 Ge 0.0000 0.7497 0.5000
Ge3 Ge 0.2240 0.0760 0.7242
Os1 Os 0.1417 0.8416 0.1407
Os2 Os 0.1485 0.5050 0.6480
```

Principal peaks in the range 2θ from 5° to 70°, in order of rising 2θ:
2θ (°), d [Å], I (rel.)
26.98, 3.305, 59.5
34.59, 2.593, 74.6
34.74, 2.582, 74.4
35.35, 2.539, 95.4
38.29, 2.351, 75.3
38.48, 2.339, 92.5
38.86, 2.318, 48.6
40.96, 2.203, 42.6
41.51, 2.175, 100.0
41.81, 2.161, 41.8

---

[8]
Computed X-ray powder pattern
Compound: LaEr2In6
Radiation: Cu Kα (weighted mean of Kα1 and Kα2)
Structure: a crystal structure in Alexandria, relaxed with GGA-PBE
Neutral-atom scattering factors, no anomalous dispersion.

Structural model:
```
data_LaEr2In6
_cell_length_a 4.6403
_cell_length_b 7.6613
_cell_length_c 14.4454
_cell_angle_alpha 90.00
_cell_angle_beta 90.00
_cell_angle_gamma 90.00
_symmetry_space_group_name_H-M 'I m m m'
_symmetry_Int_Tables_number 71
_symmetry_space_group_name_Hall '-I 2 2'
loop_
_atom_site_label
_atom_site_type_symbol
_atom_site_fract_x
_atom_site_fract_y
_atom_site_fract_z
La1 La 0.0000 0.0000 0.0000
Er1 Er 0.0000 0.5000 0.1200
In1 In 0.0000 0.1883 0.5000
In2 In 0.0000 0.3039 0.3094
```

Principal peaks in the range 2θ from 5° to 70°, in order of rising 2θ:
2θ (°), d [Å], I (rel.)
22.40, 3.969, 16.4
25.61, 3.478, 35.8
30.90, 2.894, 100.0
33.14, 2.703, 19.4
33.55, 2.671, 51.1
36.64, 2.453, 45.4
38.81, 2.320, 40.1
39.96, 2.256, 45.7
56.93, 1.617, 31.8
65.41, 1.427, 22.4

---

[9]
Computed X-ray powder pattern
Compound: Tl2OsRh
Radiation: Cu Kα (weighted mean of Kα1 and Kα2)
Structure: a crystal structure in Alexandria, relaxed with GGA-PBE
Neutral-atom scattering factors, no anomalous dispersion.

Structural model:
```
data_Tl2OsRh
_cell_length_a 2.9429
_cell_length_b 2.9429
_cell_length_c 9.7694
_cell_angle_alpha 90.00
_cell_angle_beta 90.00
_cell_angle_gamma 90.00
_symmetry_space_group_name_H-M 'P 4 m m'
_symmetry_Int_Tables_number 99
_symmetry_space_group_name_Hall 'P 4 -2'
loop_
_atom_site_label
_atom_site_type_symbol
_atom_site_fract_x
_atom_site_fract_y
_atom_site_fract_z
Tl1 Tl 0.0000 0.0000 0.0000
Tl2 Tl 0.5000 0.5000 0.3523
Os1 Os 0.0000 0.0000 0.5974
Rh1 Rh 0.5000 0.5000 0.7571
```

Principal peaks in the range 2θ from 5° to 70°, in order of rising 2θ:
2θ (°), d [Å], I (rel.)
9.05, 9.769, 14.7
27.39, 3.256, 27.1
31.76, 2.818, 21.8
35.62, 2.521, 100.0
41.35, 2.183, 27.1
43.49, 2.081, 42.8
52.16, 1.753, 19.0
56.54, 1.628, 17.2
63.19, 1.471, 14.3
65.53, 1.424, 17.1

---

[10]
Computed X-ray powder pattern
Compound: Na2PuPbF8
Radiation: Cu Kα (weighted mean of Kα1 and Kα2)
Structure: a crystal structure in Alexandria, relaxed with GGA-PBE
Neutral-atom scattering factors, no anomalous dispersion.

Structural model:
```
data_Na2PuPbF8
_cell_length_a 3.9984
_cell_length_b 5.7026
_cell_length_c 8.0728
_cell_angle_alpha 90.00
_cell_angle_beta 90.00
_cell_angle_gamma 90.00
_symmetry_space_group_name_H-M 'P m m m'
_symmetry_Int_Tables_number 47
_symmetry_space_group_name_Hall '-P 2 2'
loop_
_atom_site_label
_atom_site_type_symbol
_atom_site_fract_x
_atom_site_fract_y
_atom_site_fract_z
Na1 Na 0.0000 0.0000 0.2354
Pu1 Pu 0.5000 0.5000 0.5000
Pb1 Pb 0.5000 0.5000 0.0000
F1 F 0.0000 0.2433 0.0000
F2 F 0.0000 0.2806 0.5000
F3 F 0.5000 0.2609 0.2844
```

Principal peaks in the range 2θ from 5° to 70°, in order of rising 2θ:
2θ (°), d [Å], I (rel.)
15.54, 5.703, 100.0
22.02, 4.036, 44.7
22.23, 3.998, 41.8
27.06, 3.295, 82.9
27.24, 3.274, 81.3
31.49, 2.841, 26.1
35.30, 2.543, 50.8
45.05, 2.012, 70.1
53.32, 1.718, 51.8
53.62, 1.709, 25.8

---

[11]
Computed X-ray powder pattern
Compound: BePtF
Radiation: Cu Kα (weighted mean of Kα1 and Kα2)
Structure: a crystal structure in Alexandria, relaxed with GGA-PBE
Neutral-atom scattering factors, no anomalous dispersion.

Structural model:
```
data_BePtF
_cell_length_a 2.7903
_cell_length_b 4.6989
_cell_length_c 6.4688
_cell_angle_alpha 110.77
_cell_angle_beta 102.22
_cell_angle_gamma 90.48
_symmetry_space_group_name_H-M 'P -1'
_symmetry_Int_Tables_number 2
_symmetry_space_group_name_Hall '-P 1'
loop_
_atom_site_label
_atom_site_type_symbol
_atom_site_fract_x
_atom_site_fract_y
_atom_site_fract_z
Be1 Be 0.0979 0.0970 0.1946
Pt1 Pt 0.2518 0.7515 0.5033
F1 F 0.1218 0.2264 0.9988
```

Principal peaks in the range 2θ from 5° to 70°, in order of rising 2θ:
2θ (°), d [Å], I (rel.)
15.05, 5.887, 100.0
30.37, 2.943, 29.1
37.34, 2.408, 11.4
37.63, 2.390, 15.0
38.31, 2.349, 11.8
40.47, 2.229, 27.6
40.67, 2.218, 10.4
41.27, 2.188, 12.9
41.49, 2.176, 12.8
48.96, 1.860, 13.9

---

[12]
Computed X-ray powder pattern
Compound: Sr2GdGaO5
Radiation: Cu Kα (weighted mean of Kα1 and Kα2)
Structure: a crystal structure in Alexandria, relaxed with GGA-PBE
Neutral-atom scattering factors, no anomalous dispersion.

Structural model:
```
data_Sr2GdGaO5
_cell_length_a 9.5285
_cell_length_b 9.5930
_cell_length_c 11.3127
_cell_angle_alpha 90.00
_cell_angle_beta 90.00
_cell_angle_gamma 90.00
_symmetry_space_group_name_H-M 'F m m m'
_symmetry_Int_Tables_number 69
_symmetry_space_group_name_Hall '-F 2 2'
loop_
_atom_site_label
_atom_site_type_symbol
_atom_site_fract_x
_atom_site_fract_y
_atom_site_fract_z
Sr1 Sr 0.0000 0.1744 0.0000
Sr2 Sr 0.2500 0.2500 0.2500
Gd1 Gd 0.1806 0.0000 0.5000
Ga1 Ga 0.0000 0.0000 0.2473
O1 O 0.0000 0.1401 0.3587
O2 O 0.1522 0.0000 0.1430
O3 O 0.2500 0.2500 0.0000
```

Principal peaks in the range 2θ from 5° to 70°, in order of rising 2θ:
2θ (°), d [Å], I (rel.)
30.53, 2.928, 17.3
30.69, 2.913, 29.0
30.82, 2.902, 100.0
31.64, 2.828, 35.5
37.50, 2.398, 16.3
38.09, 2.363, 26.1
38.22, 2.355, 35.6
55.83, 1.647, 20.3
56.84, 1.620, 15.5
61.56, 1.506, 14.1

---

[13]
Computed X-ray powder pattern
Compound: CrCo2Au
Radiation: Cu Kα (weighted mean of Kα1 and Kα2)
Structure: a crystal structure in Alexandria, relaxed with GGA-PBE
Neutral-atom scattering factors, no anomalous dispersion.

Structural model:
```
data_CrCo2Au
_cell_length_a 2.6452
_cell_length_b 2.6452
_cell_length_c 25.5907
_cell_angle_alpha 90.00
_cell_angle_beta 90.00
_cell_angle_gamma 120.00
_symmetry_space_group_name_H-M 'R -3 m'
_symmetry_Int_Tables_number 166
_symmetry_space_group_name_Hall '-R 3 2"'
loop_
_atom_site_label
_atom_site_type_symbol
_atom_site_fract_x
_atom_site_fract_y
_atom_site_fract_z
Cr1 Cr 0.0000 0.0000 0.0000
Co1 Co 0.0000 0.0000 0.2594
Au1 Au 0.0000 0.0000 0.5000
```

Principal peaks in the range 2θ from 5° to 70°, in order of rising 2θ:
2θ (°), d [Å], I (rel.)
10.37, 8.530, 87.1
20.83, 4.265, 25.4
31.46, 2.843, 22.5
39.49, 2.282, 20.0
39.98, 2.255, 13.8
41.89, 2.157, 100.0
42.38, 2.133, 27.9
43.27, 2.091, 22.0
48.90, 1.862, 59.7
62.18, 1.493, 12.2